(1)
This entry pairs a crystal structure of CoTeO4 with its calculated X-ray diffraction stick pattern. Radiation: CuKα. Structure: a cell relaxed with GGA+U.
Intensities are scaled so that the largest is 100.

Main lines, sorted by position (2θ from 5° to 70°):
hkl 0 1 1, 2θ 17.51, I 25; hkl 1 0 1, 2θ 17.66, I 100; hkl 0 0 2, 2θ 19.75, I 8; hkl 1 0 3, 2θ 33.34, I 17; hkl 1 2 1, 2θ 34.28, I 31; hkl 0 2 2, 2θ 35.45, I 14; hkl 2 0 2, 2θ 35.75, I 14; hkl 0 0 4, 2θ 40.13, I 18; hkl 2 2 0, 2θ 41.94, I 34; hkl 1 2 3, 2θ 44.88, I 9; hkl 3 2 1, 2θ 55.45, I 10; hkl 2 2 4, 2θ 59.44, I 20

Atomic structure:
a b c (Å): 6.057 6.129 8.989
angles (deg): 90.00 90.00 90.00
Space group Imma (No. 74)
Inequivalent atoms, fractional coordinates:
Co  0.250  0.250  0.250 [4 per cell]
Te  0.000  0.000  0.000 [4 per cell]
O  0.000  0.024  0.213 [8 per cell]
O  0.222  0.250  0.001 [8 per cell]


(2)
This entry pairs a crystal structure of TbMoO4F with its calculated X-ray diffraction stick pattern. Radiation: CuKα. Structure: a cell relaxed with GGA+U.
Intensities are scaled so that the largest is 100.

Main lines, sorted by position (2θ from 5° to 70°):
hkl 0 2 0, 2θ 14.19, I 48; hkl 1 1 0, 2θ 19.58, I 25; hkl 1 2 -1, 2θ 23.18, I 61; hkl 1 0 -2, 2θ 27.32, I 31; hkl 1 1 1, 2θ 28.24, I 100; hkl 1 2 1, 2θ 30.92, I 33; hkl 0 4 1, 2θ 32.10, I 28; hkl 2 1 -1, 2θ 34.69, I 25; hkl 2 1 1, 2θ 45.62, I 18; hkl 2 2 -3, 2θ 47.41, I 24; hkl 2 5 0, 2θ 52.51, I 28; hkl 1 5 2, 2θ 54.87, I 22

Atomic structure:
a b c (Å): 5.287 12.486 6.761
angles (deg): 90.00 113.03 90.00
Space group P2_1/c (No. 14)
Inequivalent atoms, fractional coordinates:
Tb  0.139  0.052  0.300 [4 per cell]
Mo  0.422  0.143  0.870 [4 per cell]
O  0.192  0.065  0.961 [4 per cell]
O  0.262  0.653  0.408 [4 per cell]
O  0.307  0.223  0.295 [4 per cell]
O  0.495  0.069  0.663 [4 per cell]
F  0.047  0.598  0.965 [4 per cell]